For YTh9O20, a crystal structure in Alexandria, relaxed with PBE gives the theoretical powder diffractogram in this record (Cu Ka).

abc: 6.864 7.925 8.858
angles: 102.91 97.41 106.79
Fractional coordinates of all 30 atoms:
Y: 0.000 0.000 0.000
Th: 0.000 0.500 0.000
Th: 0.199 0.398 0.397
Th: 0.199 0.900 0.397
Th: 0.397 0.298 0.801
Th: 0.400 0.802 0.802
Th: 0.600 0.198 0.198
Th: 0.603 0.702 0.199
Th: 0.801 0.100 0.603
Th: 0.801 0.602 0.603
O: 0.050 0.225 0.850
O: 0.050 0.724 0.850
O: 0.149 0.174 0.549
O: 0.150 0.675 0.549
O: 0.250 0.125 0.250
O: 0.251 0.625 0.249
O: 0.350 0.075 0.950
O: 0.351 0.575 0.950
O: 0.449 0.025 0.650
O: 0.449 0.524 0.650
O: 0.551 0.476 0.350
O: 0.551 0.975 0.350
O: 0.649 0.425 0.050
O: 0.650 0.925 0.050
O: 0.749 0.375 0.751
O: 0.750 0.875 0.750
O: 0.850 0.325 0.451
O: 0.851 0.826 0.451
O: 0.950 0.276 0.150
O: 0.950 0.775 0.150

Principal peaks in the range 2θ from 15° to 90°, low angle first:
- 27.57 deg, I = 100
- 31.94 deg, I = 36
- 45.80 deg, I = 51
- 54.30 deg, I = 48
- 73.70 deg, I = 20
- 84.75 deg, I = 17

---

For YTh4O10, a crystal structure in Alexandria, relaxed with PBE gives the theoretical powder diffractogram in this record (Cu Ka).

abc: 6.843 6.843 6.843
angles: 99.59 99.59 131.82
Fractional coordinates of all 15 atoms:
Y: 0.000 0.000 0.000
Th: 0.202 0.399 0.601
Th: 0.399 0.798 0.197
Th: 0.601 0.202 0.803
Th: 0.798 0.601 0.399
O: 0.050 0.350 0.900
O: 0.150 0.050 0.701
O: 0.250 0.750 0.500
O: 0.350 0.450 0.299
O: 0.450 0.150 0.100
O: 0.550 0.850 0.900
O: 0.650 0.550 0.701
O: 0.750 0.250 0.500
O: 0.850 0.950 0.299
O: 0.950 0.650 0.100

Principal peaks in the range 2θ from 15° to 90°, low angle first:
- 27.65 deg, I = 100
- 32.04 deg, I = 35
- 45.94 deg, I = 51
- 54.47 deg, I = 47
- 73.95 deg, I = 19
- 85.06 deg, I = 17

---

For Ti9O10, a crystal structure in Alexandria, relaxed with PBE gives the theoretical powder diffractogram in this record (Cu Ka).

abc: 5.144 5.144 9.882
angles: 95.55 95.55 121.58
Fractional coordinates of all 19 atoms:
Ti: 0.000 0.000 0.000
Ti: 0.104 0.438 0.259
Ti: 0.166 0.834 0.500
Ti: 0.353 0.647 0.000
Ti: 0.438 0.104 0.259
Ti: 0.562 0.896 0.741
Ti: 0.647 0.353 0.000
Ti: 0.834 0.166 0.500
Ti: 0.896 0.562 0.741
O: 0.059 0.711 0.120
O: 0.201 0.537 0.623
O: 0.289 0.941 0.880
O: 0.390 0.390 0.138
O: 0.463 0.799 0.377
O: 0.537 0.201 0.623
O: 0.610 0.610 0.862
O: 0.711 0.059 0.120
O: 0.799 0.463 0.377
O: 0.941 0.289 0.880

Principal peaks in the range 2θ from 15° to 90°, low angle first:
- 19.77 deg, I = 33
- 31.59 deg, I = 24
- 37.28 deg, I = 29
- 42.79 deg, I = 100
- 44.49 deg, I = 43
- 63.12 deg, I = 24

---

For Ti9O13, a crystal structure in Alexandria, relaxed with PBE gives the theoretical powder diffractogram in this record (Cu Ka).

abc: 5.131 5.131 17.426
angles: 98.14 98.14 33.28
Fractional coordinates of all 22 atoms:
Ti: 0.000 0.000 0.000
Ti: 0.157 0.157 0.538
Ti: 0.252 0.252 0.927
Ti: 0.433 0.433 0.627
Ti: 0.486 0.486 0.827
Ti: 0.514 0.514 0.173
Ti: 0.567 0.567 0.373
Ti: 0.748 0.748 0.073
Ti: 0.843 0.843 0.462
O: 0.066 0.066 0.633
O: 0.117 0.117 0.827
O: 0.118 0.118 0.115
O: 0.203 0.203 0.419
O: 0.383 0.383 0.042
O: 0.401 0.401 0.729
O: 0.500 0.500 0.500
O: 0.599 0.599 0.271
O: 0.617 0.617 0.958
O: 0.797 0.797 0.581
O: 0.882 0.882 0.885
O: 0.883 0.883 0.173
O: 0.934 0.934 0.367

Principal peaks in the range 2θ from 15° to 90°, low angle first:
- 18.24 deg, I = 56
- 19.61 deg, I = 74
- 33.82 deg, I = 80
- 34.01 deg, I = 100
- 42.36 deg, I = 53
- 42.94 deg, I = 79